For K3HS2O8, a structure optimized by DFT (PBE) gives the computed powder diffraction line list in this record (a wavelength of 1.5418 Å).
Kinematic intensities with the Lorentz-polarization factor, no thermal factor.

Largest 12 diffraction maxima, by intensity, 10° ≤ 2θ ≤ 90°:
2theta  I (rel.)
27.1  100
31.1  49
41.6  23
31.0  22
36.9  19
41.8  15
45.1  15
18.2  12
65.2  9
52.9  9
64.8  8
39.7  7

Structure:
a = 15.0110 Å, b = 5.7769 Å, c = 9.9482 Å
α = 90.00°, β = 102.85°, γ = 90.00°
Space group C2/c (No. 15)
Inequivalent atoms, fractional coordinates:
K (0.0000, 0.2471, 0.2500) x4
K (0.1925, 0.2295, 0.6523) x8
H (0.0000, 0.5000, 0.0000) x4
S (0.1159, 0.2764, 0.9630) x8
O (0.0112, 0.3205, 0.9418) x8
O (0.1270, 0.0585, 0.8915) x8
O (0.1526, 0.2603, 0.1140) x8
O (0.1543, 0.4778, 0.9032) x8